# 1
V2ReI: simulated powder X-ray diffraction pattern (a wavelength of 1.5418 Å), based on a cell relaxed with GGA-PBE.

Crystal structure
```
data_V2ReI
_cell_length_a 6.3611
_cell_length_b 6.3611
_cell_length_c 6.3611
_cell_angle_alpha 90.00
_cell_angle_beta 90.00
_cell_angle_gamma 90.00
_space_group_name_H-M_alt 'F m -3 m'
_space_group_IT_number 225
_space_group_name_Hall '-F 4 2 3'
loop_
_atom_site_label
_atom_site_type_symbol
_atom_site_fract_x
_atom_site_fract_y
_atom_site_fract_z
V1 V 0.2500 0.2500 0.2500
Re1 Re 0.0000 0.0000 0.0000
I1 I 0.0000 0.0000 0.5000
```

Principal peaks in the range 2θ = 15–90°, in order of falling intensity:
2θ 40.09, 2.249 Å, I 100, (2 2 0)
2θ 72.84, 1.298 Å, I 33, (4 2 2)
2θ 28.05, 3.181 Å, I 33, (2 0 0)
2θ 57.99, 1.590 Å, I 17, (4 0 0)
2θ 65.64, 1.422 Å, I 13, (4 2 0)
2θ 86.56, 1.124 Å, I 11, (4 4 0)
2θ 49.65, 1.836 Å, I 10, (2 2 2)
2θ 24.23, 3.673 Å, I 5, (1 1 1)
2θ 47.40, 1.918 Å, I 3, (3 1 1)
2θ 63.78, 1.459 Å, I 1, (3 3 1)

# 2
SrNdCrN3: simulated powder X-ray diffraction pattern (a wavelength of 1.5418 Å), based on a cell relaxed with GGA-PBE.

Crystal structure
```
data_SrNdCrN3
_cell_length_a 13.2937
_cell_length_b 3.8139
_cell_length_c 7.3342
_cell_angle_alpha 90.00
_cell_angle_beta 105.96
_cell_angle_gamma 90.00
_space_group_name_H-M_alt 'C 1 2/m 1'
_space_group_IT_number 12
loop_
_space_group_symop_operation_xyz
'x,y,z'
'-x,-y,-z'
'-x,y,-z'
'x,-y,z'
'x+1/2,y+1/2,z'
'-x+1/2,-y+1/2,-z'
'-x+1/2,y+1/2,-z'
'x+1/2,-y+1/2,z'
loop_
_atom_site_label
_atom_site_type_symbol
_atom_site_fract_x
_atom_site_fract_y
_atom_site_fract_z
Sr1 Sr 0.1415 0.0000 0.0743
Nd1 Nd 0.1520 0.0000 0.5725
Cr1 Cr 0.0036 0.5000 0.7161
N1 N 0.0034 0.0000 0.2817
N2 N 0.1438 0.5000 0.8137
N3 N 0.1543 0.5000 0.3404
```

Principal peaks in the range 2θ = 15–90°, in order of falling intensity:
2θ 33.91, 2.643 Å, I 100, (1 1 -2)
2θ 32.21, 2.779 Å, I 84, (2 0 2)
2θ 31.48, 2.842 Å, I 75, (3 1 0)
2θ 44.48, 2.037 Å, I 33, (5 1 -2)
2θ 58.72, 1.572 Å, I 30, (2 2 2)
2θ 55.39, 1.659 Å, I 29, (5 1 2)
2θ 60.05, 1.541 Å, I 24, (1 1 4)
2θ 47.69, 1.907 Å, I 23, (0 2 0)
2θ 27.92, 3.195 Å, I 21, (4 0 0)
2θ 42.43, 2.130 Å, I 20, (6 0 0)

# 3
SmTm4Sn4: simulated powder X-ray diffraction pattern (a wavelength of 1.5418 Å), based on a cell relaxed with GGA-PBE.

Crystal structure
```
data_SmTm4Sn4
_cell_length_a 9.7788
_cell_length_b 9.7788
_cell_length_c 6.0562
_cell_angle_alpha 90.00
_cell_angle_beta 90.00
_cell_angle_gamma 90.00
_space_group_name_H-M_alt 'P 42/n'
_space_group_IT_number 86
loop_
_space_group_symop_operation_xyz
'x,y,z'
'-x,-y,-z'
'-y,x+1/2,z+1/2'
'y,-x+1/2,-z+1/2'
'-x+1/2,-y+1/2,z'
'x+1/2,y+1/2,-z'
'y+1/2,-x,z+1/2'
'-y+1/2,x,-z+1/2'
loop_
_atom_site_label
_atom_site_type_symbol
_atom_site_fract_x
_atom_site_fract_y
_atom_site_fract_z
Sm1 Sm 0.2500 0.2500 0.2500
Tm1 Tm 0.0980 0.6468 0.1426
Sn1 Sn 0.0375 0.6114 0.6537
```

Principal peaks in the range 2θ = 15–90°, in order of falling intensity:
2θ 28.87, 3.092 Å, I 100, (1 3 0)
2θ 30.91, 2.893 Å, I 58, (1 0 2)
2θ 40.67, 2.219 Å, I 40, (3 0 2)
2θ 36.29, 2.475 Å, I 35, (2 3 1)
2θ 41.29, 2.187 Å, I 25, (4 2 0)
2θ 44.86, 2.020 Å, I 21, (3 2 2)
2θ 17.22, 5.149 Å, I 17, (1 0 1)
2θ 40.86, 2.208 Å, I 17, (4 1 1)
2θ 48.77, 1.867 Å, I 17, (1 4 2)
2θ 55.97, 1.643 Å, I 17, (4 3 2)

# 4
LiTe3F: simulated powder X-ray diffraction pattern (a wavelength of 1.5418 Å), based on a cell relaxed with GGA-PBE.

Crystal structure
```
data_LiTe3F
_cell_length_a 4.9982
_cell_length_b 4.9982
_cell_length_c 4.9982
_cell_angle_alpha 90.00
_cell_angle_beta 90.00
_cell_angle_gamma 90.00
_space_group_name_H-M_alt 'P m -3 m'
_space_group_IT_number 221
_space_group_name_Hall '-P 4 2 3'
loop_
_atom_site_label
_atom_site_type_symbol
_atom_site_fract_x
_atom_site_fract_y
_atom_site_fract_z
Li1 Li 0.0000 0.0000 0.0000
Te1 Te 0.0000 0.5000 0.5000
F1 F 0.5000 0.5000 0.5000
```

Principal peaks in the range 2θ = 15–90°, in order of falling intensity:
2θ 30.99, 2.886 Å, I 100, (1 1 1)
2θ 35.94, 2.499 Å, I 62, (2 0 0)
2θ 17.75, 4.998 Å, I 46, (1 0 0)
2θ 51.73, 1.767 Å, I 43, (2 2 0)
2θ 61.53, 1.507 Å, I 42, (3 1 1)
2θ 40.35, 2.235 Å, I 22, (2 1 0)
2θ 25.20, 3.534 Å, I 19, (1 1 0)
2θ 87.23, 1.118 Å, I 19, (4 2 0)
2θ 84.49, 1.147 Å, I 18, (3 3 1)
2θ 64.59, 1.443 Å, I 14, (2 2 2)

# 5
CeTm2Ni9: simulated powder X-ray diffraction pattern (a wavelength of 1.5418 Å), based on a cell relaxed with GGA-PBE.

Crystal structure
```
data_CeTm2Ni9
_cell_length_a 4.9463
_cell_length_b 4.9463
_cell_length_c 16.1617
_cell_angle_alpha 90.00
_cell_angle_beta 90.00
_cell_angle_gamma 120.00
_space_group_name_H-M_alt 'P 63/m m c'
_space_group_IT_number 194
_space_group_name_Hall '-P 6c 2c'
loop_
_atom_site_label
_atom_site_type_symbol
_atom_site_fract_x
_atom_site_fract_y
_atom_site_fract_z
Ce1 Ce 0.3333 0.6667 0.2500
Tm1 Tm 0.3333 0.6667 0.0404
Ni1 Ni 0.0000 0.0000 0.0000
Ni2 Ni 0.0000 0.0000 0.2500
Ni3 Ni 0.1675 0.3349 0.6246
Ni4 Ni 0.3333 0.6667 0.7500
```

Principal peaks in the range 2θ = 15–90°, in order of falling intensity:
2θ 42.87, 2.109 Å, I 100, (1 1 4)
2θ 34.77, 2.580 Å, I 78, (1 0 5)
2θ 36.33, 2.473 Å, I 57, (1 1 0)
2θ 42.58, 2.123 Å, I 35, (2 0 1)
2θ 45.58, 1.990 Å, I 29, (2 0 3)
2θ 64.36, 1.448 Å, I 26, (2 1 5)
2θ 69.87, 1.346 Å, I 24, (3 0 4)
2θ 77.13, 1.237 Å, I 23, (2 2 0)
2θ 44.58, 2.032 Å, I 20, (1 0 7)
2θ 68.14, 1.376 Å, I 16, (2 0 9)

# 6
BaBi6Pb: simulated powder X-ray diffraction pattern (a wavelength of 1.5418 Å), based on a cell relaxed with GGA-PBE.

Crystal structure
```
data_BaBi6Pb
_cell_length_a 5.7421
_cell_length_b 9.6596
_cell_length_c 10.2360
_cell_angle_alpha 90.00
_cell_angle_beta 90.00
_cell_angle_gamma 90.00
_space_group_name_H-M_alt 'A m m 2'
_space_group_IT_number 38
loop_
_space_group_symop_operation_xyz
'x,y,z'
'-x,-y,z'
'-x,y,z'
'x,-y,z'
'x,y+1/2,z+1/2'
'-x,-y+1/2,z+1/2'
'-x,y+1/2,z+1/2'
'x,-y+1/2,z+1/2'
loop_
_atom_site_label
_atom_site_type_symbol
_atom_site_fract_x
_atom_site_fract_y
_atom_site_fract_z
Ba1 Ba 0.0000 0.0000 0.0000
Bi1 Bi 0.0000 0.0000 0.6043
Bi2 Bi 0.0000 0.2196 0.2829
Bi3 Bi 0.5000 0.0000 0.2385
Bi4 Bi 0.5000 0.2332 0.4553
Pb1 Pb 0.5000 0.0000 0.7460
```

Principal peaks in the range 2θ = 15–90°, in order of falling intensity:
2θ 29.82, 2.996 Å, I 100, (1 2 2)
2θ 31.15, 2.871 Å, I 33, (2 0 0)
2θ 54.62, 1.680 Å, I 28, (3 2 2)
2θ 25.36, 3.513 Å, I 19, (0 2 2)
2θ 37.23, 2.415 Å, I 17, (0 4 0)
2θ 49.31, 1.848 Å, I 16, (2 4 0)
2θ 38.51, 2.338 Å, I 14, (1 0 4)
2θ 40.58, 2.223 Å, I 11, (2 2 2)
2θ 42.99, 2.104 Å, I 11, (1 2 4)
2θ 31.88, 2.807 Å, I 9, (1 1 3)

# 7
Al4VOs: simulated powder X-ray diffraction pattern (a wavelength of 1.5418 Å), based on a cell relaxed with GGA-PBE.

Crystal structure
```
data_Al4VOs
_cell_length_a 5.1469
_cell_length_b 7.3018
_cell_length_c 5.4212
_cell_angle_alpha 90.00
_cell_angle_beta 115.46
_cell_angle_gamma 90.00
_space_group_name_H-M_alt 'C 1 2/m 1'
_space_group_IT_number 12
loop_
_space_group_symop_operation_xyz
'x,y,z'
'-x,-y,-z'
'-x,y,-z'
'x,-y,z'
'x+1/2,y+1/2,z'
'-x+1/2,-y+1/2,-z'
'-x+1/2,y+1/2,-z'
'x+1/2,-y+1/2,z'
loop_
_atom_site_label
_atom_site_type_symbol
_atom_site_fract_x
_atom_site_fract_y
_atom_site_fract_z
Al1 Al 0.0212 0.1845 0.2544
V1 V 0.0000 0.5000 0.0000
Os1 Os 0.0000 0.5000 0.5000
```

Principal peaks in the range 2θ = 15–90°, in order of falling intensity:
2θ 22.68, 3.921 Å, I 100, (1 1 0)
2θ 35.50, 2.528 Å, I 67, (1 1 -2)
2θ 41.90, 2.156 Å, I 61, (1 3 0)
2θ 23.37, 3.807 Å, I 48, (1 1 -1)
2θ 44.57, 2.033 Å, I 43, (0 2 2)
2θ 18.12, 4.895 Å, I 42, (0 0 1)
2θ 38.75, 2.324 Å, I 39, (2 0 0)
2θ 47.79, 1.903 Å, I 35, (2 2 -2)
2θ 50.61, 1.804 Å, I 30, (1 1 2)
2θ 24.38, 3.651 Å, I 29, (0 2 0)

# 8
La7SiS5: simulated powder X-ray diffraction pattern (a wavelength of 1.5418 Å), based on a cell relaxed with GGA-PBE.

Crystal structure
```
data_La7SiS5
_cell_length_a 13.6776
_cell_length_b 4.1829
_cell_length_c 24.4778
_cell_angle_alpha 90.00
_cell_angle_beta 90.02
_cell_angle_gamma 90.00
_space_group_name_H-M_alt 'C 1 2/m 1'
_space_group_IT_number 12
loop_
_space_group_symop_operation_xyz
'x,y,z'
'-x,-y,-z'
'-x,y,-z'
'x,-y,z'
'x+1/2,y+1/2,z'
'-x+1/2,-y+1/2,-z'
'-x+1/2,y+1/2,-z'
'x+1/2,-y+1/2,z'
loop_
_atom_site_label
_atom_site_type_symbol
_atom_site_fract_x
_atom_site_fract_y
_atom_site_fract_z
La1 La 0.0358 0.0000 0.2501
La2 La 0.0928 0.5000 0.1113
La3 La 0.0926 0.5000 0.3888
La4 La 0.1373 0.0000 0.5361
La5 La 0.1372 0.0000 0.9639
La6 La 0.1870 0.5000 0.6802
La7 La 0.1868 0.5000 0.8198
Si1 Si 0.1937 0.5000 0.2498
S1 S 0.0000 0.5000 0.0000
S2 S 0.0000 0.5000 0.5000
S3 S 0.0474 0.0000 0.6425
S4 S 0.0472 0.0000 0.8576
S5 S 0.2278 0.0000 0.0724
S6 S 0.2278 0.0000 0.4275
```

Principal peaks in the range 2θ = 15–90°, in order of falling intensity:
2θ 28.67, 3.113 Å, I 100, (2 0 7)
2θ 29.90, 2.989 Å, I 90, (3 1 2)
2θ 43.30, 2.090 Å, I 64, (0 2 0)
2θ 31.02, 2.883 Å, I 60, (3 1 -3)
2θ 26.62, 3.348 Å, I 53, (1 1 -4)
2θ 52.73, 1.736 Å, I 36, (2 2 7)
2θ 24.79, 3.592 Å, I 33, (1 1 3)
2θ 26.32, 3.387 Å, I 33, (4 0 1)
2θ 32.05, 2.793 Å, I 30, (2 0 8)
2θ 43.65, 2.074 Å, I 30, (5 1 5)